# 1
This entry pairs a crystal structure of RbPd2O4 with its computed powder diffraction line list. Radiation: a wavelength of 1.5418 Å. Structure: a GGA-PBE-relaxed structure.
Lines closer than 0.1° are merged.

The 12 most intense peaks (10 to 80 degrees two-theta), most intense first:
d [Å]  I/Imax
2.892  100
2.814  59
3.039  38
1.743  32
5.627  29
3.485  20
1.840  19
1.446  19
1.876  16
1.955  14
1.686  14
1.519  13

Crystal structure
```
RbPd2O4
1.0
-3.3717 3.3717 5.1062
3.3717 -3.3717 5.1062
3.3717 3.3717 -5.1062
Rb Pd O
2 4 8
Direct
0.3750 0.1250 0.2500
0.6250 0.8750 0.7500
0.0000 0.0000 0.5000
0.0000 0.5000 0.0000
0.0000 0.5000 0.5000
0.5000 0.5000 0.0000
0.0116 0.1758 0.3608
0.1508 0.5116 0.3358
0.3150 0.6508 0.1392
0.3242 0.1850 0.8358
0.6758 0.8150 0.1642
0.6850 0.3492 0.8608
0.8492 0.4884 0.6642
0.9884 0.8242 0.6392
```



# 2
This entry pairs a crystal structure of Rb3PdO with its computed powder diffraction line list. Radiation: a wavelength of 1.5418 Å. Structure: a GGA-PBE-relaxed structure.
Lines closer than 0.1° are merged.

The 12 most intense peaks (10 to 80 degrees two-theta), most intense first:
d [Å]  I/Imax
3.120  100
7.988  44
3.181  30
2.584  30
3.994  21
1.824  18
1.695  14
2.488  14
4.434  10
1.674  9
2.042  9
2.002  8

Crystal structure
```
Rb3PdO
1.0
4.0050 -7.9875 0.0000
4.0050 7.9875 0.0000
0.0000 0.0000 6.3611
Rb Pd O
6 2 2
Direct
0.1075 0.4444 0.4692
0.1087 0.8913 0.5000
0.4444 0.1075 0.9692
0.5556 0.8925 0.4692
0.8913 0.1087 0.0000
0.8925 0.5556 0.9692
0.3382 0.6618 0.9414
0.6618 0.3382 0.4414
0.2376 0.7624 0.7492
0.7624 0.2376 0.2492
```



# 3
This entry pairs a crystal structure of Rb8Pd3O8 with its computed powder diffraction line list. Radiation: a wavelength of 1.5418 Å. Structure: a GGA-PBE-relaxed structure.
Lines closer than 0.1° are merged.

The 12 most intense peaks (10 to 80 degrees two-theta), most intense first:
d [Å]  I/Imax
2.892  100
3.135  84
3.305  52
3.264  30
2.696  21
3.289  21
1.973  20
2.777  20
4.749  18
1.863  15
2.004  15
1.714  14

Crystal structure
```
Rb8Pd3O8
1.0
10.2952 -2.8940 0.0000
10.2952 2.8940 0.0000
-2.3929 0.0000 8.0235
Rb Pd O
8 3 8
Direct
0.0292 0.0292 0.2426
0.1855 0.1855 0.7569
0.3311 0.3311 0.5535
0.3953 0.3953 0.0511
0.6047 0.6047 0.9489
0.6689 0.6689 0.4465
0.8145 0.8145 0.2431
0.9708 0.9708 0.7574
0.1927 0.1927 0.1882
0.5000 0.5000 0.5000
0.8073 0.8073 0.8118
0.1077 0.1077 0.0124
0.1772 0.1772 0.4023
0.2878 0.2878 0.2044
0.4776 0.4776 0.7035
0.5224 0.5224 0.2965
0.7122 0.7122 0.7956
0.8228 0.8228 0.5977
0.8923 0.8923 0.9876
```



# 4
This entry pairs a crystal structure of RbPd2O2 with its computed powder diffraction line list. Radiation: a wavelength of 1.5418 Å. Structure: a GGA-PBE-relaxed structure.
Lines closer than 0.1° are merged.

The 12 most intense peaks (10 to 80 degrees two-theta), most intense first:
d [Å]  I/Imax
3.462  100
3.108  97
2.448  52
2.552  42
1.722  33
1.866  32
2.147  31
3.870  23
1.657  22
1.495  21
1.888  17
1.418  16

Crystal structure
```
RbPd2O2
1.0
7.7408 0.0000 0.0000
0.0000 7.7408 0.0000
0.0000 0.0000 3.7755
Rb Pd O
2 4 4
Direct
0.0000 0.0000 0.0000
0.5000 0.5000 0.0000
0.1161 0.3839 0.5000
0.3839 0.8839 0.5000
0.6161 0.1161 0.5000
0.8839 0.6161 0.5000
0.1468 0.3532 0.0000
0.3532 0.8532 0.0000
0.6468 0.1468 0.0000
0.8532 0.6468 0.0000
```



# 5
This entry pairs a crystal structure of Rb4PdO4 with its computed powder diffraction line list. Radiation: a wavelength of 1.5418 Å. Structure: a GGA-PBE-relaxed structure.
Lines closer than 0.1° are merged.

The 12 most intense peaks (10 to 80 degrees two-theta), most intense first:
d [Å]  I/Imax
3.132  100
2.663  46
1.936  35
1.614  34
2.819  31
1.682  16
1.566  16
1.254  15
1.883  15
1.246  8
1.225  8
1.204  6

Crystal structure
```
Rb4PdO4
1.0
-4.2105 4.2105 2.8189
4.2105 -4.2105 2.8189
4.2105 4.2105 -2.8189
Rb Pd O
4 1 4
Direct
0.1063 0.2938 0.4001
0.2938 0.8937 0.1874
0.7062 0.1063 0.8126
0.8937 0.7062 0.5999
0.5000 0.5000 0.0000
0.2744 0.5686 0.8429
0.4314 0.2744 0.7058
0.5686 0.7256 0.2942
0.7256 0.4314 0.1571
```



# 6
This entry pairs a crystal structure of RbPdRu2O8 with its computed powder diffraction line list. Radiation: a wavelength of 1.5418 Å. Structure: a GGA-PBE-relaxed structure.
Lines closer than 0.1° are merged.

The 12 most intense peaks (10 to 80 degrees two-theta), most intense first:
d [Å]  I/Imax
3.300  100
2.994  46
3.013  44
4.179  44
2.528  40
8.175  38
4.024  29
4.390  26
3.490  24
2.316  21
1.790  17
1.510  16

Crystal structure
```
RbPdRu2O8
1.0
4.2394 -3.0127 0.0000
4.2394 3.0127 0.0000
-1.3961 0.0000 8.1752
Rb Pd Ru O
1 1 2 8
Direct
0.0000 0.0000 0.0000
0.0000 0.0000 0.5000
0.3979 0.3979 0.7061
0.6021 0.6021 0.2939
0.2441 0.7357 0.3095
0.2464 0.2464 0.5257
0.2643 0.7559 0.6905
0.3121 0.3121 0.8846
0.6879 0.6879 0.1154
0.7357 0.2441 0.3095
0.7536 0.7536 0.4743
0.7559 0.2643 0.6905
```